Structure and simulated powder diffraction line list of VCr2O4 (a structure optimized by DFT (PBE+U); Cu Kα, 1.54184 Å).
Kinematic intensities with the Lorentz-polarization factor, no thermal factor.

Main lines, sorted by position (2θ from 15° to 90°):
d_spacing	2θ/deg	I/Imax
4.959	17.89	27
3.104	28.76	17
3.004	29.74	27
2.631	34.07	100
2.512	35.74	56
2.195	41.12	28
1.686	54.43	39
1.593	57.89	13
1.552	59.56	26
1.502	61.75	47

Cell and atoms:
```
data_VCr2O4
_chemical_formula_sum 'V4 Cr8 O16'
_cell_length_a 6.209
_cell_length_b 6.209
_cell_length_c 8.241
_cell_angle_alpha 90.00
_cell_angle_beta 90.00
_cell_angle_gamma 90.00
_space_group_name_H-M_alt 'I 41 m d'
_space_group_IT_number 109
_space_group_name_Hall 'I 4bw -2'
loop_
_atom_site_label
_atom_site_type_symbol
_atom_site_fract_x
_atom_site_fract_y
_atom_site_fract_z
V1 V 0.000 0.000 0.000
Cr1 Cr 0.000 0.248 0.617
O1 O 0.000 0.211 0.368
O2 O 0.000 0.279 0.861
```